No. 1
This entry pairs a crystal structure of PmGdNO with its simulated powder XRD pattern. Radiation: copper Kα. Structure: the GGA-PBE geometry in OQMD.

Cell and atoms:
Cell: 4.997 4.040 7.080 Å, 90.00 90.00 90.00°
Space group Pmma (No. 51)
Unique sites:
Pm 0.250 0.000 0.164 (multiplicity 2)
Gd 0.250 0.500 0.665 (multiplicity 2)
N 0.250 0.500 0.341 (multiplicity 2)
O 0.250 0.000 0.818 (multiplicity 2)

The 10 most intense peaks (2θ from 10° to 90°), low angle first:
| Position (°2θ) | d_spacing | I_rel |
| --- | --- | --- |
| 25.16 | 3.540 | 21.3 |
| 25.38 | 3.509 | 45.0 |
| 30.96 | 2.889 | 53.8 |
| 31.15 | 2.871 | 100.0 |
| 35.95 | 2.498 | 34.9 |
| 44.44 | 2.038 | 46.8 |
| 44.52 | 2.035 | 19.4 |
| 44.88 | 2.020 | 18.5 |
| 55.51 | 1.655 | 21.7 |
| 58.44 | 1.579 | 32.9 |



No. 2
This entry pairs a crystal structure of RbAlAu with its simulated powder XRD pattern. Radiation: copper Kα. Structure: the GGA-PBE geometry in OQMD.

Cell and atoms:
Cell: 7.242 7.242 7.242 Å, 90.00 90.00 90.00°
Space group F-43m (No. 216)
Unique sites:
Rb 0.000 0.000 0.000 (multiplicity 4)
Al 0.250 0.250 0.750 (multiplicity 4)
Au 0.000 0.000 0.500 (multiplicity 4)

The 10 most intense peaks (2θ from 10° to 90°), low angle first:
| Position (°2θ) | d_spacing | I_rel |
| --- | --- | --- |
| 21.25 | 4.181 | 30.1 |
| 24.58 | 3.621 | 83.6 |
| 35.05 | 2.560 | 100.0 |
| 41.35 | 2.184 | 17.7 |
| 43.28 | 2.091 | 25.4 |
| 50.40 | 1.811 | 17.8 |
| 56.86 | 1.619 | 34.2 |
| 62.87 | 1.478 | 36.8 |
| 79.39 | 1.207 | 16.7 |
| 84.64 | 1.145 | 16.6 |



No. 3
This entry pairs a crystal structure of In8Pd2S with its simulated powder XRD pattern. Radiation: copper Kα. Structure: the GGA-PBE geometry in OQMD.

Cell and atoms:
Cell: 10.073 10.073 10.482 Å, 90.00 90.00 90.00°
Space group P4_2/mnm (No. 136)
Unique sites:
In 0.000 0.000 0.169 (multiplicity 4)
In 0.048 0.307 0.322 (multiplicity 16)
In 0.098 0.902 0.500 (multiplicity 4)
In 0.188 0.812 0.000 (multiplicity 4)
In 0.193 0.193 0.000 (multiplicity 4)
Pd 0.191 0.809 0.261 (multiplicity 8)
S 0.000 0.500 0.000 (multiplicity 4)

The 10 most intense peaks (2θ from 10° to 90°), low angle first:
| Position (°2θ) | d_spacing | I_rel |
| --- | --- | --- |
| 27.90 | 3.198 | 24.8 |
| 32.43 | 2.761 | 100.0 |
| 32.91 | 2.722 | 21.8 |
| 36.79 | 2.443 | 31.7 |
| 37.89 | 2.375 | 45.9 |
| 39.77 | 2.266 | 18.1 |
| 40.75 | 2.214 | 42.9 |
| 44.78 | 2.024 | 16.4 |
| 45.87 | 1.978 | 21.0 |
| 55.74 | 1.649 | 23.5 |



No. 4
This entry pairs a crystal structure of Tm2ScTl3PtAu2 with its simulated powder XRD pattern. Radiation: copper Kα. Structure: the GGA-PBE geometry in OQMD.

Cell and atoms:
Cell: 3.754 13.492 7.800 Å, 90.00 90.00 90.00°
Space group Amm2 (No. 38)
Unique sites:
Tm 0.000 0.197 0.000 (multiplicity 4)
Sc 0.000 0.000 0.591 (multiplicity 2)
Tl 0.500 0.000 0.926 (multiplicity 2)
Tl 0.500 0.132 0.333 (multiplicity 4)
Pt 0.000 0.000 0.197 (multiplicity 2)
Au 0.500 0.165 0.697 (multiplicity 4)

The 10 most intense peaks (2θ from 10° to 90°), low angle first:
| Position (°2θ) | d_spacing | I_rel |
| --- | --- | --- |
| 22.82 | 3.897 | 14.3 |
| 33.13 | 2.704 | 100.0 |
| 35.18 | 2.551 | 46.7 |
| 35.77 | 2.510 | 89.8 |
| 40.07 | 2.250 | 74.0 |
| 42.86 | 2.110 | 58.3 |
| 48.49 | 1.877 | 26.4 |
| 61.31 | 1.512 | 19.1 |
| 64.66 | 1.442 | 36.7 |
| 65.16 | 1.432 | 45.4 |



No. 5
This entry pairs a crystal structure of Mg2Pd4Br3 with its simulated powder XRD pattern. Radiation: copper Kα. Structure: the GGA-PBE geometry in OQMD.

Cell and atoms:
Cell: 7.1065 7.1065 4.1453 Å, 90.00 90.00 120.00°
Space group P-6 (No. 174)
Unique sites:
Mg 0.0000 0.0000 0.0000 (multiplicity 1)
Mg 0.3333 0.6667 0.5000 (multiplicity 1)
Pd 0.2382 0.0238 0.5000 (multiplicity 3)
Pd 0.6667 0.3333 0.5000 (multiplicity 1)
Br 0.0010 0.4880 0.0000 (multiplicity 3)

The 10 most intense peaks (2θ from 10° to 90°), low angle first:
| Position (°2θ) | d_spacing | I_rel |
| --- | --- | --- |
| 14.39 | 6.154 | 18.7 |
| 25.06 | 3.553 | 28.9 |
| 25.91 | 3.438 | 30.5 |
| 33.21 | 2.698 | 24.8 |
| 36.36 | 2.471 | 100.0 |
| 38.71 | 2.326 | 51.5 |
| 43.67 | 2.073 | 27.4 |
| 44.67 | 2.029 | 56.2 |
| 59.76 | 1.547 | 28.3 |
| 74.23 | 1.278 | 17.3 |



No. 6
This entry pairs a crystal structure of CuAg with its simulated powder XRD pattern. Radiation: copper Kα. Structure: the GGA-PBE geometry in OQMD.

Cell and atoms:
Cell: 18.275 2.866 5.760 Å, 90.00 99.06 90.00°
Space group Cm (No. 8)
Unique sites:
Cu 0.000 0.000 0.000 (multiplicity 2)
Cu 0.001 0.000 0.545 (multiplicity 2)
Cu 0.093 0.500 0.819 (multiplicity 2)
Cu 0.416 0.000 0.728 (multiplicity 2)
Cu 0.424 0.000 0.236 (multiplicity 2)
Ag 0.090 0.500 0.317 (multiplicity 2)
Ag 0.200 0.000 0.116 (multiplicity 2)
Ag 0.201 0.000 0.628 (multiplicity 2)
Ag 0.318 0.500 0.428 (multiplicity 2)
Ag 0.320 0.500 0.936 (multiplicity 2)

The 10 most intense peaks (2θ from 10° to 90°), low angle first:
| Position (°2θ) | d_spacing | I_rel |
| --- | --- | --- |
| 34.53 | 2.598 | 13.6 |
| 34.67 | 2.587 | 13.0 |
| 40.04 | 2.252 | 100.0 |
| 40.18 | 2.244 | 87.5 |
| 44.61 | 2.031 | 72.1 |
| 50.58 | 1.805 | 14.3 |
| 61.42 | 1.510 | 13.9 |
| 69.70 | 1.349 | 20.2 |
| 79.00 | 1.212 | 20.5 |
| 79.25 | 1.209 | 27.7 |